1.
Computed powder X-ray diffraction pattern
Compound: BPIrRhAu
Radiation: a wavelength of 1.5418 Å
Structure: DFT lattice parameters and positions (PBE)

Most intense lines, 10 to 80 degrees two-theta, most intense first:
2θ = 34.16°, intensity 100.0; 2θ = 28.93°, intensity 43.7; 2θ = 25.12°, intensity 35.6; 2θ = 14.35°, intensity 35.0; 2θ = 43.99°, intensity 33.5; 2θ = 50.04°, intensity 30.7; 2θ = 50.33°, intensity 30.2; 2θ = 38.68°, intensity 27.2; 2θ = 22.82°, intensity 24.9; 2θ = 22.71°, intensity 24.7

Crystal structure
```
BPIrRhAu
1.0
4.118 0.000 0.000
0.000 3.545 0.000
-2.007 0.000 6.173
B P Ir Rh Au
1 1 1 1 1
direct
0.000 0.000 0.000 B
0.320 0.500 0.632 P
0.910 0.500 0.816 Ir
0.435 0.000 0.867 Rh
0.131 0.500 0.254 Au
```

***

2.
Computed powder X-ray diffraction pattern
Compound: Ag2GeAu4
Radiation: a wavelength of 1.5418 Å
Structure: DFT lattice parameters and positions (PBE)

Most intense lines, 10 to 80 degrees two-theta, most intense first:
2θ = 40.77°, intensity 100.0; 2θ = 37.58°, intensity 43.2; 2θ = 32.50°, intensity 34.2; 2θ = 69.99°, intensity 25.6; 2θ = 25.82°, intensity 25.3; 2θ = 42.30°, intensity 23.5; 2θ = 36.09°, intensity 18.8; 2θ = 40.87°, intensity 18.3; 2θ = 30.99°, intensity 17.7; 2θ = 53.06°, intensity 17.7

Crystal structure
```
Ag2GeAu4
1.0
0.000 4.977 2.886
4.787 0.000 2.886
4.787 4.977 0.000
Ag Ge Au
2 1 4
direct
0.000 0.000 0.500 Ag
0.500 0.500 0.000 Ag
0.095 0.095 0.905 Ge
0.508 0.993 0.492 Au
0.569 0.941 0.059 Au
0.941 0.569 0.431 Au
0.993 0.508 0.007 Au
```

***

3.
Computed powder X-ray diffraction pattern
Compound: Sr2CdRhO5
Radiation: a wavelength of 1.5418 Å
Structure: DFT lattice parameters and positions (PBE)

Most intense lines, 10 to 80 degrees two-theta, most intense first:
2θ = 29.71°, intensity 100.0; 2θ = 33.11°, intensity 75.5; 2θ = 31.65°, intensity 59.7; 2θ = 39.53°, intensity 38.5; 2θ = 37.99°, intensity 35.0; 2θ = 52.99°, intensity 32.9; 2θ = 50.26°, intensity 30.9; 2θ = 63.25°, intensity 24.0; 2θ = 39.40°, intensity 21.9; 2θ = 35.89°, intensity 19.5

Crystal structure
```
Sr2CdRhO5
1.0
1.686 -7.783 0.000
1.686 7.783 0.000
0.000 0.000 9.474
Sr Cd Rh O
4 2 2 10
direct
0.125 0.875 0.529 Sr
0.125 0.875 0.971 Sr
0.875 0.125 0.029 Sr
0.875 0.125 0.471 Sr
0.486 0.514 0.750 Cd
0.514 0.486 0.250 Cd
0.231 0.769 0.250 Rh
0.769 0.231 0.750 Rh
0.102 0.898 0.250 O
0.275 0.725 0.620 O
0.275 0.725 0.880 O
0.364 0.636 0.250 O
0.500 0.500 0.000 O
0.500 0.500 0.500 O
0.636 0.364 0.750 O
0.725 0.275 0.120 O
0.725 0.275 0.380 O
0.898 0.102 0.750 O
```